The following is a theoretical powder X-ray diffraction pattern of Cs5Rb6Sr. It was derived from a DFT-relaxed cell (GGA-PBE, Alexandria), using Cu Kα (weighted mean of Kα1 and Kα2).
Peak positions follow from Bragg's law for the DFT cell and can differ from measured ones.

Structure:
```
Cs5Rb6Sr
1.0
8.646 0.000 0.000
-0.020 10.464 0.000
-0.581 -5.188 12.534
Cs Rb Sr
5 6 1
direct
0.000 0.000 0.000
0.321 0.335 0.670
0.336 0.832 0.664
0.664 0.168 0.336
0.679 0.665 0.330
0.163 0.418 0.320
0.164 0.902 0.320
0.500 0.265 0.000
0.500 0.735 0.000
0.836 0.098 0.680
0.837 0.582 0.680
0.000 0.500 0.000
```

Most intense lines, 2θ = 15–90°, in order of rising 2θ:
| 2θ/deg | d_spacing | I/Imax | hkl |
| --- | --- | --- | --- |
| 21.25 | 4.181 | 100.0 | 1 2 0 |
| 21.45 | 4.143 | 32.8 | 2 0 -1 |
| 24.11 | 3.692 | 24.5 | -1 2 1 |
| 24.20 | 3.677 | 24.3 | 1 2 -3 |
| 25.60 | 3.480 | 21.1 | 2 0 2 |
| 35.37 | 2.538 | 17.4 | 1 2 3 |
| 35.60 | 2.522 | 17.5 | 3 2 -1 |
| 40.76 | 2.214 | 17.4 | 2 -4 1 |
| 40.87 | 2.208 | 11.5 | 2 4 -3 |
| 43.28 | 2.090 | 14.5 | 2 4 0 |